No. 1
Dy3Ho4Sc2: theoretical X-ray powder pattern (Cu Kα (weighted mean of Kα1 and Kα2)), based on a cell relaxed with GGA-PBE.
Lines closer than 0.1° are merged.

Top 10 peaks for 10° ≤ 2θ ≤ 80°, by angle:
(hkl)  two_theta  intensity
1 3 2  32.21  100
2 0 2  32.32  54
0 6 0  32.46  48
3 3 0  32.78  100
2 6 2  46.46  37
4 0 2  46.77  17
1 9 2  57.76  18
3 9 0  58.10  32
5 3 2  58.29  21
3 3 4  64.22  33

Crystal structure
Unit cell a=9.4364 b=16.5476 c=6.8438 alpha=90.00 beta=90.00 gamma=90.00
Space group Cccm (No. 66)
Inequivalent atoms, fractional coordinates:
Dy 0.0000 0.0000 0.2500 [4 per cell]
Dy 0.0000 0.3277 0.2500 [8 per cell]
Ho 0.1676 0.4868 0.0000 [8 per cell]
Ho 0.1733 0.1611 0.5000 [8 per cell]
Sc 0.1591 0.1734 0.0000 [8 per cell]

***

No. 2
DyHo4Sc8: theoretical X-ray powder pattern (Cu Kα (weighted mean of Kα1 and Kα2)), based on a cell relaxed with GGA-PBE.
Lines closer than 0.1° are merged.

Top 10 peaks for 10° ≤ 2θ ≤ 80°, by angle:
(hkl)  two_theta  intensity
1 1 0  17.04  11
0 0 3  20.91  42
2 0 2  24.19  18
1 1 3  27.09  9
2 2 0  34.47  100
2 2 3  40.66  23
4 0 4  49.54  17
2 2 6  55.87  9
6 0 0  61.71  26
2 0 8  61.86  9

Crystal structure
Unit cell a=10.4186 b=10.4186 c=12.7231 alpha=90.00 beta=90.00 gamma=120.00
Space group R-3m (No. 166, hexagonal axes)
Inequivalent atoms, fractional coordinates:
Dy 0.0000 0.0000 0.0000 [3 per cell]
Ho 0.0000 0.0000 0.5000 [3 per cell]
Ho 0.0000 0.5000 0.5000 [9 per cell]
Sc 0.0000 0.0000 0.2599 [6 per cell]
Sc 0.0129 0.5065 0.2461 [18 per cell]

***

No. 3
Dy4Ho3Sc: theoretical X-ray powder pattern (Cu Kα (weighted mean of Kα1 and Kα2)), based on a cell relaxed with GGA-PBE.
Lines closer than 0.1° are merged.

Top 10 peaks for 10° ≤ 2θ ≤ 80°, by angle:
(hkl)  two_theta  intensity
2 1 3  31.20  100
3 1 0  32.40  46
4 0 0  41.34  7
0 0 6  42.88  7
3 3 0  43.97  8
4 1 3  48.05  11
4 0 6  61.08  11
5 2 3  61.21  23
3 3 6  63.10  12
2 1 9  71.29  9

Crystal structure
Unit cell a=8.7369 b=8.7369 c=12.6535 alpha=90.00 beta=90.00 gamma=90.00
Space group I4/mcm (No. 140)
Inequivalent atoms, fractional coordinates:
Dy 0.1506 0.3494 0.1625 [16 per cell]
Ho 0.0000 0.0000 0.2500 [4 per cell]
Ho 0.1476 0.3524 0.5000 [8 per cell]
Sc 0.0000 0.0000 0.0000 [4 per cell]

***

What did the first record say?
Dy3Ho4Sc2: theoretical X-ray powder pattern (Cu Kα (weighted mean of Kα1 and Kα2)), based on a cell relaxed with GGA-PBE.
Lines closer than 0.1° are merged.

Top 10 peaks for 10° ≤ 2θ ≤ 80°, by angle:
(hkl)  two_theta  intensity
1 3 2  32.21  100
2 0 2  32.32  54
0 6 0  32.46  48
3 3 0  32.78  100
2 6 2  46.46  37
4 0 2  46.77  17
1 9 2  57.76  18
3 9 0  58.10  32
5 3 2  58.29  21
3 3 4  64.22  33

Crystal structure
Unit cell a=9.4364 b=16.5476 c=6.8438 alpha=90.00 beta=90.00 gamma=90.00
Space group Cccm (No. 66)
Inequivalent atoms, fractional coordinates:
Dy 0.0000 0.0000 0.2500 [4 per cell]
Dy 0.0000 0.3277 0.2500 [8 per cell]
Ho 0.1676 0.4868 0.0000 [8 per cell]
Ho 0.1733 0.1611 0.5000 [8 per cell]
Sc 0.1591 0.1734 0.0000 [8 per cell]

***

What did the second record say?
DyHo4Sc8: theoretical X-ray powder pattern (Cu Kα (weighted mean of Kα1 and Kα2)), based on a cell relaxed with GGA-PBE.
Lines closer than 0.1° are merged.

Top 10 peaks for 10° ≤ 2θ ≤ 80°, by angle:
(hkl)  two_theta  intensity
1 1 0  17.04  11
0 0 3  20.91  42
2 0 2  24.19  18
1 1 3  27.09  9
2 2 0  34.47  100
2 2 3  40.66  23
4 0 4  49.54  17
2 2 6  55.87  9
6 0 0  61.71  26
2 0 8  61.86  9

Crystal structure
Unit cell a=10.4186 b=10.4186 c=12.7231 alpha=90.00 beta=90.00 gamma=120.00
Space group R-3m (No. 166, hexagonal axes)
Inequivalent atoms, fractional coordinates:
Dy 0.0000 0.0000 0.0000 [3 per cell]
Ho 0.0000 0.0000 0.5000 [3 per cell]
Ho 0.0000 0.5000 0.5000 [9 per cell]
Sc 0.0000 0.0000 0.2599 [6 per cell]
Sc 0.0129 0.5065 0.2461 [18 per cell]

***

Question: Number 1 is which compound?
Answer: Dy3Ho4Sc2

***

Copy entry 2 word for word.
DyHo4Sc8: theoretical X-ray powder pattern (Cu Kα (weighted mean of Kα1 and Kα2)), based on a cell relaxed with GGA-PBE.
Lines closer than 0.1° are merged.

Top 10 peaks for 10° ≤ 2θ ≤ 80°, by angle:
(hkl)  two_theta  intensity
1 1 0  17.04  11
0 0 3  20.91  42
2 0 2  24.19  18
1 1 3  27.09  9
2 2 0  34.47  100
2 2 3  40.66  23
4 0 4  49.54  17
2 2 6  55.87  9
6 0 0  61.71  26
2 0 8  61.86  9

Crystal structure
Unit cell a=10.4186 b=10.4186 c=12.7231 alpha=90.00 beta=90.00 gamma=120.00
Space group R-3m (No. 166, hexagonal axes)
Inequivalent atoms, fractional coordinates:
Dy 0.0000 0.0000 0.0000 [3 per cell]
Ho 0.0000 0.0000 0.5000 [3 per cell]
Ho 0.0000 0.5000 0.5000 [9 per cell]
Sc 0.0000 0.0000 0.2599 [6 per cell]
Sc 0.0129 0.5065 0.2461 [18 per cell]